Starting from a cell relaxed with GGA-PBE, the X-ray diffraction stick pattern of Li4CdCuPd2 was calculated for Cu Ka.
No peak broadening, texture or thermal motion is included.

Atomic structure:
```
data_Li4CdCuPd2
_symmetry_space_group_name_H-M 'P -4 m 2'
_symmetry_Int_Tables_number 115
_symmetry_space_group_name_Hall 'P -4 -2'
_cell_length_a 4.316
_cell_length_b 4.316
_cell_length_c 6.185
_cell_angle_alpha 90.00
_cell_angle_beta 90.00
_cell_angle_gamma 90.00
loop_
_atom_site_label
_atom_site_type_symbol
_atom_site_fract_x
_atom_site_fract_y
_atom_site_fract_z
Li1 Li 0.000 0.000 0.000
Li2 Li 0.000 0.500 0.230
Li3 Li 0.500 0.500 0.500
Cd1 Cd 0.000 0.000 0.500
Cu1 Cu 0.500 0.500 0.000
Pd1 Pd 0.000 0.500 0.771
```

Main lines, low angle first (10 to 90 degrees two-theta):
h k l  d (Å)  I_rel
1 0 1  3.539  100
1 1 2  2.172  61
2 0 0  2.158  31
1 0 3  1.860  15
2 1 1  1.842  31
2 2 0  1.526  10
2 1 3  1.409  11
2 0 4  1.257  9
3 1 2  1.249  19
3 2 1  1.175  7